Structure and calculated powder XRD pattern of MgSi (a GGA-PBE-relaxed structure; Cu Kα (λ = 1.5418 Å)).
No peak broadening, texture or thermal motion is included.

The 10 most intense peaks (5° ≤ 2θ ≤ 70°), in order of rising 2θ:
- (1 1 3), 2.506 Å, I 100.0
- (2 0 -5), 2.418 Å, I 10.5
- (1 1 -4), 2.407 Å, I 12.6
- (3 1 -2), 2.395 Å, I 51.0
- (3 1 -3), 2.270 Å, I 47.2
- (4 0 1), 2.143 Å, I 31.6
- (2 0 -6), 2.053 Å, I 18.3
- (0 2 0), 1.895 Å, I 31.1
- (6 0 -5), 1.488 Å, I 11.1
- (4 2 1), 1.419 Å, I 16.3

Structural model:
```
data_MgSi
_symmetry_space_group_name_H-M 'C 1 m 1'
_symmetry_Int_Tables_number 8
_cell_length_a 9.5330
_cell_length_b 3.7891
_cell_length_c 12.4838
_cell_angle_alpha 90.00
_cell_angle_beta 106.08
_cell_angle_gamma 90.00
loop_
_symmetry_equiv_pos_as_xyz
'x,y,z'
'x,-y,z'
'x+1/2,y+1/2,z'
'x+1/2,-y+1/2,z'
loop_
_atom_site_label
_atom_site_type_symbol
_atom_site_fract_x
_atom_site_fract_y
_atom_site_fract_z
_atom_site_occupancy
Mg1 Mg 0.0000 0.0000 0.0000 1
Mg2 Mg 0.0101 0.5000 0.8043 1
Mg3 Mg 0.1525 0.0000 0.6233 1
Mg4 Mg 0.1694 0.5000 0.4209 1
Mg5 Mg 0.4174 0.5000 0.3335 1
Mg6 Mg 0.4567 0.0000 0.1645 1
Si1 Si 0.1901 0.0000 0.2334 1
Si2 Si 0.2237 0.5000 0.0934 1
Si3 Si 0.2583 0.0000 0.9332 1
Si4 Si 0.2890 0.5000 0.8022 1
Si5 Si 0.3731 0.5000 0.6308 1
Si6 Si 0.4089 0.0000 0.5069 1
```